No. 1
Structure and theoretical powder diffraction line list of Sr5AcCd6 (DFT lattice parameters and positions (PBE); CuKα).

Largest 10 diffraction maxima, in order of rising 2θ, 10 to 80 degrees two-theta:
2θ (°)  d (Å)  I/Imax
31.06  2.880  1000
31.20  2.866  247
31.31  2.857  245
44.79  2.023  180
55.09  1.667  97
55.16  1.665  96
55.44  1.657  188
55.57  1.654  187
64.75  1.440  117
73.98  1.281  118

Structure:
```
Sr5AcCd6
1.0
2.866 -8.571 0.000
2.866 8.571 0.000
0.000 0.000 8.197
Sr Ac Cd
5 1 6
direct
0.000 0.000 0.000
0.332 0.668 0.500
0.333 0.667 0.000
0.667 0.333 0.000
0.668 0.332 0.500
0.000 0.000 0.500
0.166 0.834 0.251
0.166 0.834 0.749
0.500 0.500 0.253
0.500 0.500 0.747
0.834 0.166 0.251
0.834 0.166 0.749
```


No. 2
Structure and theoretical powder diffraction line list of AcTb3Cd4 (DFT lattice parameters and positions (PBE); CuKα).

Largest 10 diffraction maxima, in order of rising 2θ, 10 to 80 degrees two-theta:
2θ (°)  d (Å)  I/Imax
32.88  2.724  1000
33.16  2.702  501
46.77  1.942  86
47.60  1.910  181
58.53  1.577  176
59.06  1.564  368
68.95  1.362  107
77.90  1.226  67
79.14  1.210  79
79.29  1.208  80

Structure:
```
AcTb3Cd4
1.0
10.805 0.000 0.000
0.000 7.769 0.000
0.000 0.000 5.404
Ac Tb Cd
2 6 8
direct
0.000 0.000 0.000
0.500 0.000 0.000
0.000 0.500 0.000
0.250 0.000 0.499
0.250 0.500 0.499
0.500 0.500 0.000
0.750 0.000 0.501
0.750 0.500 0.501
0.000 0.270 0.500
0.000 0.730 0.500
0.250 0.270 0.999
0.250 0.730 0.999
0.500 0.270 0.500
0.500 0.730 0.500
0.750 0.270 0.001
0.750 0.730 0.001
```


No. 3
Structure and theoretical powder diffraction line list of AcTbCd6 (DFT lattice parameters and positions (PBE); CuKα).

Largest 10 diffraction maxima, in order of rising 2θ, 10 to 80 degrees two-theta:
2θ (°)  d (Å)  I/Imax
28.79  3.101  119
31.33  2.855  204
31.99  2.798  129
34.07  2.631  1000
36.13  2.486  279
36.28  2.476  228
48.55  1.875  119
54.21  1.692  95
63.66  1.462  159
66.89  1.399  99

Structure:
```
AcTbCd6
1.0
4.972 0.000 0.000
0.000 7.386 0.000
0.000 0.000 11.421
Ac Tb Cd
2 2 12
direct
0.000 0.000 0.000
0.000 0.500 0.500
0.500 0.000 0.719
0.500 0.500 0.219
0.000 0.000 0.539
0.000 0.216 0.267
0.000 0.284 0.767
0.000 0.500 0.039
0.000 0.716 0.767
0.000 0.784 0.267
0.500 0.000 0.201
0.500 0.205 0.449
0.500 0.295 0.949
0.500 0.500 0.701
0.500 0.705 0.949
0.500 0.795 0.449
```